No. 1
Starting from a crystal structure in Alexandria, relaxed with GGA-PBE, the powder X-ray diffraction pattern of LaScTa was computed for copper Kα.

Top 12 peaks for 2θ from 15° to 90°, sorted by position:
| d (Å) | 2theta | I (rel.) |
| --- | --- | --- |
| 3.811 | 23.34 | 7 |
| 3.087 | 28.93 | 15 |
| 2.679 | 33.45 | 100 |
| 2.541 | 35.32 | 19 |
| 2.229 | 40.47 | 31 |
| 2.192 | 41.19 | 13 |
| 2.139 | 42.25 | 8 |
| 1.676 | 54.79 | 21 |
| 1.576 | 58.57 | 10 |
| 1.492 | 62.22 | 12 |
| 1.358 | 69.16 | 24 |
| 1.339 | 70.29 | 10 |

Cell and atoms:
```
LaScTa
1.0
-1.5760 1.5760 7.6229
1.5760 -1.5760 7.6229
1.5760 1.5760 -7.6229
La Sc Ta
1 1 1
direct
0.0000 0.0000 0.0000
0.7035 0.7035 0.0000
0.3358 0.3358 0.0000
```

No. 2
Starting from a crystal structure in Alexandria, relaxed with GGA-PBE, the powder X-ray diffraction pattern of La2Tb5Sc2 was computed for copper Kα.

Top 12 peaks for 2θ from 15° to 90°, sorted by position:
| d (Å) | 2theta | I (rel.) |
| --- | --- | --- |
| 2.888 | 30.97 | 100 |
| 2.512 | 35.75 | 17 |
| 2.500 | 35.92 | 17 |
| 2.490 | 36.07 | 17 |
| 1.775 | 51.49 | 7 |
| 1.769 | 51.68 | 18 |
| 1.764 | 51.82 | 12 |
| 1.514 | 61.21 | 7 |
| 1.511 | 61.33 | 7 |
| 1.509 | 61.44 | 7 |
| 1.506 | 61.56 | 7 |
| 1.503 | 61.70 | 14 |

Cell and atoms:
```
La2Tb5Sc2
1.0
7.5008 -2.4901 0.0000
7.5008 2.4901 0.0000
-2.4758 0.0000 7.5354
La Tb Sc
2 5 2
direct
0.1075 0.1075 0.1645
0.8925 0.8925 0.8355
0.0000 0.0000 0.5000
0.2189 0.2189 0.8342
0.3350 0.3350 0.4957
0.6650 0.6650 0.5043
0.7811 0.7811 0.1658
0.4433 0.4433 0.1658
0.5567 0.5567 0.8342
```

No. 3
Starting from a crystal structure in Alexandria, relaxed with GGA-PBE, the powder X-ray diffraction pattern of La2Tb15Sc2 was computed for copper Kα.

Top 12 peaks for 2θ from 15° to 90°, sorted by position:
| d (Å) | 2theta | I (rel.) |
| --- | --- | --- |
| 5.636 | 15.72 | 26 |
| 3.254 | 27.41 | 11 |
| 3.242 | 27.51 | 14 |
| 2.891 | 30.93 | 27 |
| 2.833 | 31.58 | 100 |
| 2.818 | 31.76 | 33 |
| 2.572 | 34.88 | 9 |
| 2.533 | 35.44 | 52 |
| 1.787 | 51.13 | 11 |
| 1.658 | 55.41 | 10 |
| 1.628 | 56.54 | 23 |
| 1.418 | 65.88 | 9 |

Cell and atoms:
```
La2Tb15Sc2
1.0
5.6356 3.2537 5.7822
-5.6356 3.2537 5.7822
0.0000 -6.5075 5.7822
La Tb Sc
2 15 2
direct
0.1757 0.1757 0.1757
0.8243 0.8243 0.8243
0.0000 0.5000 0.5000
0.1371 0.1371 0.6468
0.1371 0.6468 0.1371
0.2079 0.5000 0.7921
0.2079 0.7921 0.5000
0.3532 0.8629 0.8629
0.5000 0.0000 0.5000
0.5000 0.2079 0.7921
0.5000 0.5000 0.0000
0.5000 0.7921 0.2079
0.6468 0.1371 0.1371
0.7921 0.2079 0.5000
0.7921 0.5000 0.2079
0.8629 0.3532 0.8629
0.8629 0.8629 0.3532
0.4088 0.4088 0.4088
0.5912 0.5912 0.5912
```

No. 4
Starting from a crystal structure in Alexandria, relaxed with GGA-PBE, the powder X-ray diffraction pattern of LaTb6Sc4 was computed for copper Kα.

Top 12 peaks for 2θ from 15° to 90°, sorted by position:
| d (Å) | 2theta | I (rel.) |
| --- | --- | --- |
| 3.797 | 23.43 | 24 |
| 3.458 | 25.77 | 16 |
| 2.863 | 31.24 | 100 |
| 2.762 | 32.42 | 51 |
| 2.740 | 32.69 | 96 |
| 2.619 | 34.24 | 41 |
| 1.986 | 45.69 | 25 |
| 1.662 | 55.26 | 15 |
| 1.602 | 57.53 | 13 |
| 1.590 | 58.00 | 18 |
| 1.578 | 58.50 | 13 |
| 1.370 | 68.50 | 11 |

Cell and atoms:
```
LaTb6Sc4
1.0
2.7615 -4.7329 0.0000
2.7615 4.7329 0.0000
0.0000 0.0000 25.0934
La Tb Sc
2 12 8
direct
0.1761 0.8239 0.7500
0.8239 0.1761 0.2500
0.1564 0.8436 0.1768
0.1564 0.8436 0.3232
0.1751 0.8249 0.5938
0.1751 0.8249 0.9062
0.4895 0.5105 0.2500
0.5000 0.5000 0.0000
0.5000 0.5000 0.5000
0.5105 0.4895 0.7500
0.8249 0.1751 0.0938
0.8249 0.1751 0.4062
0.8436 0.1564 0.6768
0.8436 0.1564 0.8232
0.1628 0.8372 0.0431
0.1628 0.8372 0.4569
0.4895 0.5105 0.1240
0.4895 0.5105 0.3760
0.5105 0.4895 0.6240
0.5105 0.4895 0.8760
0.8372 0.1628 0.5431
0.8372 0.1628 0.9569
```

No. 5
Starting from a crystal structure in Alexandria, relaxed with GGA-PBE, the powder X-ray diffraction pattern of La2Tb12Sc was computed for copper Kα.

Top 12 peaks for 2θ from 15° to 90°, sorted by position:
| d (Å) | 2theta | I (rel.) |
| --- | --- | --- |
| 3.017 | 29.61 | 15 |
| 2.950 | 30.30 | 48 |
| 2.883 | 31.02 | 25 |
| 2.849 | 31.40 | 100 |
| 2.838 | 31.53 | 65 |
| 2.819 | 31.74 | 97 |
| 2.666 | 33.61 | 55 |
| 2.027 | 44.72 | 18 |
| 1.782 | 51.26 | 23 |
| 1.642 | 55.99 | 23 |
| 1.639 | 56.11 | 19 |
| 1.511 | 61.37 | 21 |

Cell and atoms:
```
La2Tb12Sc
1.0
3.5638 -5.6981 0.0000
3.5638 5.6981 0.0000
-3.2772 0.0000 24.1334
La Tb Sc
4 24 2
direct
0.2292 0.2292 0.2326
0.2675 0.2675 0.7689
0.7325 0.7325 0.2311
0.7708 0.7708 0.7674
0.0358 0.0358 0.3755
0.0853 0.0853 0.9242
0.0937 0.5941 0.4337
0.1033 0.5945 0.9441
0.2039 0.7005 0.1723
0.2267 0.7252 0.6948
0.2748 0.7733 0.3052
0.2995 0.7961 0.8277
0.4036 0.4036 0.0706
0.4055 0.8967 0.0559
0.4059 0.9063 0.5663
0.4638 0.4638 0.6238
0.5362 0.5362 0.3762
0.5941 0.0937 0.4337
0.5945 0.1033 0.9441
0.5964 0.5964 0.9294
0.7005 0.2039 0.1723
0.7252 0.2267 0.6948
0.7733 0.2748 0.3052
0.7961 0.2995 0.8277
0.8967 0.4055 0.0559
0.9063 0.4059 0.5663
0.9147 0.9147 0.0758
0.9642 0.9642 0.6245
0.2490 0.2490 0.4996
0.7510 0.7510 0.5004
```

No. 6
Starting from a crystal structure in Alexandria, relaxed with GGA-PBE, the powder X-ray diffraction pattern of La3Tb4Sc was computed for copper Kα.

Top 12 peaks for 2θ from 15° to 90°, sorted by position:
| d (Å) | 2theta | I (rel.) |
| --- | --- | --- |
| 3.390 | 26.29 | 12 |
| 2.985 | 29.94 | 37 |
| 2.943 | 30.38 | 100 |
| 2.830 | 31.62 | 89 |
| 2.721 | 32.92 | 21 |
| 2.470 | 36.37 | 24 |
| 2.427 | 37.05 | 22 |
| 1.999 | 45.37 | 17 |
| 1.699 | 53.95 | 18 |
| 1.678 | 54.71 | 18 |
| 1.509 | 61.45 | 14 |
| 1.492 | 62.21 | 25 |

Cell and atoms:
```
La3Tb4Sc
1.0
-1.7565 5.8934 6.4513
1.7565 -5.8934 6.4513
1.7565 5.8934 -6.4513
La Tb Sc
3 4 1
direct
0.0000 0.0000 0.0000
0.2605 0.7605 0.5000
0.7395 0.2395 0.5000
0.1244 0.3669 0.7575
0.3905 0.6331 0.7575
0.6095 0.3669 0.2425
0.8756 0.6331 0.2425
0.5000 0.5000 0.0000
```

No. 7
Starting from a crystal structure in Alexandria, relaxed with GGA-PBE, the powder X-ray diffraction pattern of La3Tb4Sc2 was computed for copper Kα.

Top 12 peaks for 2θ from 15° to 90°, sorted by position:
| d (Å) | 2theta | I (rel.) |
| --- | --- | --- |
| 3.505 | 25.41 | 17 |
| 3.192 | 27.96 | 25 |
| 3.074 | 29.04 | 20 |
| 3.042 | 29.36 | 26 |
| 2.800 | 31.97 | 100 |
| 2.755 | 32.50 | 30 |
| 2.742 | 32.66 | 32 |
| 2.696 | 33.23 | 39 |
| 2.629 | 34.10 | 31 |
| 2.552 | 35.16 | 22 |
| 1.879 | 48.44 | 16 |
| 1.774 | 51.51 | 11 |

Cell and atoms:
```
La3Tb4Sc2
1.0
6.3319 0.0000 0.0000
2.0210 9.5910 0.0000
2.0147 0.6466 9.5769
La Tb Sc
6 8 4
direct
0.0023 0.0423 0.1676
0.2500 0.4622 0.5378
0.4984 0.8322 0.9574
0.5016 0.1678 0.0426
0.7500 0.5378 0.4622
0.9977 0.9577 0.8324
0.0065 0.6902 0.1085
0.0711 0.1569 0.5081
0.4305 0.4921 0.8423
0.4933 0.8908 0.3092
0.5067 0.1092 0.6908
0.5695 0.5079 0.1577
0.9289 0.8431 0.4919
0.9935 0.3098 0.8915
0.0974 0.3609 0.2177
0.4020 0.7831 0.6387
0.5980 0.2169 0.3613
0.9026 0.6391 0.7823
```

No. 8
Starting from a crystal structure in Alexandria, relaxed with GGA-PBE, the powder X-ray diffraction pattern of LaTb5Sc was computed for copper Kα.

Top 12 peaks for 2θ from 15° to 90°, sorted by position:
| d (Å) | 2theta | I (rel.) |
| --- | --- | --- |
| 2.898 | 30.86 | 100 |
| 2.890 | 30.95 | 99 |
| 2.507 | 35.81 | 67 |
| 2.504 | 35.87 | 33 |
| 1.774 | 51.51 | 36 |
| 1.771 | 51.60 | 24 |
| 1.767 | 51.73 | 12 |
| 1.514 | 61.21 | 14 |
| 1.512 | 61.31 | 42 |
| 1.509 | 61.45 | 21 |
| 1.445 | 64.49 | 12 |
| 1.122 | 86.82 | 13 |

Cell and atoms:
```
LaTb5Sc
1.0
6.1245 0.0000 0.0000
-1.0348 6.0523 0.0000
-1.0212 -1.2206 5.9446
La Tb Sc
1 5 1
direct
0.0000 0.0000 0.0000
0.1506 0.5774 0.2900
0.2887 0.1520 0.5765
0.5729 0.2904 0.1407
0.7104 0.8616 0.4298
0.8590 0.4375 0.7141
0.4305 0.7171 0.8574
```